Diffraction record for Tl2Ge2Te3. The powder diffraction line list is calculated, not measured: it uses DFT lattice parameters and positions (GGA-PBE) and Cu Kα X-rays.
Kinematic intensities with the Lorentz-polarization factor, no thermal factor.

The 10 most intense peaks (2θ from 10° to 90°), by intensity:
- 28.7°, rel. 1000
- 28.5°, rel. 326
- 36.1°, rel. 298
- 45.2°, rel. 205
- 42.2°, rel. 188
- 27.6°, rel. 176
- 39.8°, rel. 171
- 31.6°, rel. 166
- 19.3°, rel. 146
- 68.9°, rel. 143

Atomic structure:
a = 8.364 Å, b = 8.364 Å, c = 6.582 Å
α = 100.46°, β = 100.46°, γ = 29.70°
Positions (direct):
Tl1 0.094 0.094 0.257
Tl2 0.906 0.906 0.743
Ge1 0.360 0.360 0.121
Ge2 0.640 0.640 0.879
Te1 0.222 0.222 0.729
Te2 0.500 0.500 0.500
Te3 0.778 0.778 0.271

=====

Diffraction record for Tl7GeTe6. The powder diffraction line list is calculated, not measured: it uses DFT lattice parameters and positions (GGA-PBE) and Cu Kα X-rays.
Kinematic intensities with the Lorentz-polarization factor, no thermal factor.

The 10 most intense peaks (2θ from 10° to 90°), by intensity:
- 22.7°, rel. 1000
- 34.6°, rel. 857
- 39.0°, rel. 751
- 27.0°, rel. 709
- 27.3°, rel. 576
- 29.2°, rel. 529
- 29.7°, rel. 410
- 30.4°, rel. 398
- 22.5°, rel. 351
- 23.3°, rel. 325

Atomic structure:
a = 12.493 Å, b = 12.493 Å, c = 12.493 Å
α = 143.07°, β = 107.38°, γ = 84.37°
Positions (direct):
Tl1 0.009 0.273 0.282
Tl2 0.073 0.575 0.882
Tl3 0.192 0.075 0.501
Tl4 0.250 0.250 0.000
Tl5 0.308 0.809 0.882
Tl6 0.427 0.309 0.501
Tl7 0.491 0.773 0.264
Tl8 0.509 0.227 0.736
Tl9 0.573 0.691 0.499
Tl10 0.692 0.191 0.118
Tl11 0.750 0.750 0.000
Tl12 0.808 0.925 0.499
Tl13 0.927 0.425 0.118
Tl14 0.991 0.727 0.718
Ge1 0.250 0.750 0.500
Ge2 0.750 0.250 0.500
Te1 0.067 0.864 0.598
Te2 0.173 0.014 0.187
Te3 0.233 0.636 0.203
Te4 0.267 0.469 0.402
Te5 0.327 0.514 0.841
Te6 0.433 0.031 0.797
Te7 0.567 0.969 0.203
Te8 0.673 0.486 0.159
Te9 0.733 0.531 0.598
Te10 0.767 0.364 0.797
Te11 0.827 0.986 0.813
Te12 0.933 0.136 0.402

=====

Diffraction record for Tl2GeTe5. The powder diffraction line list is calculated, not measured: it uses DFT lattice parameters and positions (GGA-PBE) and Cu Kα X-rays.
Kinematic intensities with the Lorentz-polarization factor, no thermal factor.

The 10 most intense peaks (2θ from 10° to 90°), by intensity:
- 31.8°, rel. 1000
- 29.8°, rel. 497
- 29.5°, rel. 256
- 33.5°, rel. 229
- 49.4°, rel. 192
- 48.1°, rel. 190
- 54.2°, rel. 180
- 21.0°, rel. 159
- 38.4°, rel. 156
- 75.3°, rel. 154

Atomic structure:
a = 8.466 Å, b = 8.466 Å, c = 15.093 Å
α = 90.00°, β = 90.00°, γ = 90.00°
Positions (direct):
Tl1 0.000 0.000 0.121
Tl2 0.000 0.000 0.378
Tl3 0.000 0.000 0.622
Tl4 0.000 0.000 0.879
Tl5 0.500 0.500 0.121
Tl6 0.500 0.500 0.378
Tl7 0.500 0.500 0.622
Tl8 0.500 0.500 0.879
Ge1 0.000 0.500 0.118
Ge2 0.000 0.500 0.882
Ge3 0.500 0.000 0.118
Ge4 0.500 0.000 0.882
Te1 0.000 0.500 0.371
Te2 0.000 0.500 0.629
Te3 0.168 0.332 0.000
Te4 0.179 0.679 0.220
Te5 0.179 0.679 0.780
Te6 0.187 0.687 0.500
Te7 0.313 0.187 0.500
Te8 0.321 0.179 0.220
Te9 0.321 0.179 0.780
Te10 0.332 0.832 0.000
Te11 0.500 0.000 0.371
Te12 0.500 0.000 0.629
Te13 0.668 0.168 0.000
Te14 0.679 0.821 0.220
Te15 0.679 0.821 0.780
Te16 0.687 0.813 0.500
Te17 0.813 0.313 0.500
Te18 0.821 0.321 0.220
Te19 0.821 0.321 0.780
Te20 0.832 0.668 0.000